Record 1
Simulated powder diffraction line list
Compound: Sc4AgHg3
Radiation: λ = 1.5418 Å (Cu Kα)
Structure: a structure optimized by DFT (GGA-PBE)

Cell and atoms:
a = 8.5793 Å, b = 8.5793 Å, c = 8.5793 Å
α = 33.49°, β = 33.49°, γ = 33.49°
Fractional positions:
Sc: 0.1241 0.1241 0.1241
Sc: 0.3743 0.3743 0.3743
Sc: 0.6257 0.6257 0.6257
Sc: 0.8759 0.8759 0.8759
Ag: 0.0000 0.0000 0.0000
Hg: 0.2520 0.2520 0.2520
Hg: 0.5000 0.5000 0.5000
Hg: 0.7480 0.7480 0.7480

Main lines, in order of rising 2θ (2θ = 15–90°):
- 2θ 25.5, 3.498 Å, I = 43
- 2θ 36.3, 2.474 Å, I = 100
- 2θ 44.9, 2.020 Å, I = 14
- 2θ 52.3, 1.749 Å, I = 17
- 2θ 59.0, 1.564 Å, I = 19
- 2θ 65.3, 1.430 Å, I = 9
- 2θ 65.4, 1.427 Å, I = 26
- 2θ 77.1, 1.238 Å, I = 5
- 2θ 77.2, 1.236 Å, I = 5
- 2θ 82.8, 1.166 Å, I = 8
- 2θ 88.3, 1.107 Å, I = 8
- 2θ 88.4, 1.106 Å, I = 8

=====

Record 2
Simulated powder diffraction line list
Compound: Sc2Ag3Hg2
Radiation: λ = 1.5418 Å (Cu Kα)
Structure: a structure optimized by DFT (GGA-PBE)

Cell and atoms:
a = 4.8663 Å, b = 9.3573 Å, c = 6.6957 Å
α = 90.00°, β = 93.79°, γ = 90.00°
Fractional positions:
Sc: 0.0152 0.2312 0.2874
Sc: 0.0152 0.2688 0.7874
Sc: 0.9848 0.7312 0.2126
Sc: 0.9848 0.7688 0.7126
Ag: 0.0000 0.0000 0.0000
Ag: 0.0000 0.5000 0.5000
Ag: 0.2656 0.0237 0.6043
Ag: 0.2656 0.4763 0.1043
Ag: 0.7344 0.5237 0.8957
Ag: 0.7344 0.9763 0.3957
Hg: 0.4876 0.6794 0.4693
Hg: 0.4876 0.8206 0.9693
Hg: 0.5124 0.1794 0.0307
Hg: 0.5124 0.3206 0.5307

Main lines, in order of rising 2θ (2θ = 15–90°):
- 2θ 18.3, 4.856 Å, I = 26
- 2θ 26.5, 3.369 Å, I = 33
- 2θ 26.7, 3.341 Å, I = 52
- 2θ 31.7, 2.826 Å, I = 57
- 2θ 33.6, 2.671 Å, I = 41
- 2θ 36.3, 2.473 Å, I = 35
- 2θ 37.0, 2.428 Å, I = 100
- 2θ 37.3, 2.413 Å, I = 84
- 2θ 39.8, 2.263 Å, I = 40
- 2θ 41.5, 2.174 Å, I = 26
- 2θ 41.9, 2.155 Å, I = 28
- 2θ 55.0, 1.669 Å, I = 28